This entry pairs a crystal structure of YAsF with its theoretical powder diffraction line list. Radiation: copper Kα. Structure: a DFT-relaxed cell (GGA-PBE, Alexandria).
Lines closer than 0.1° are merged.

Structure:
Cell lengths 9.1846, 3.8784, 7.6445 Å; angles 90.00, 108.20, 90.00 degrees
Space group C2/m (No. 12)
Symmetry-distinct sites (fractional):
Y 0.1650 0.0000 0.2689
As 0.1629 0.0000 0.8784
F 0.1536 0.5000 0.4346

Main lines, in order of rising 2θ (15 to 90 degrees two-theta):
(hkl), 2theta, I/Imax
2 0 0, 20.4, 853
0 0 2, 24.5, 362
1 1 0, 25.1, 753
2 0 -2, 26.6, 666
1 1 -2, 33.0, 1000
2 0 2, 36.8, 457
3 1 0, 38.7, 938
1 1 -3, 42.5, 676
0 2 0, 46.8, 421
1 1 3, 48.1, 375

This entry pairs a crystal structure of Zn2AsF with its theoretical powder diffraction line list. Radiation: copper Kα. Structure: a DFT-relaxed cell (GGA-PBE, Alexandria).
Lines closer than 0.1° are merged.

Structure:
Cell lengths 4.0474, 8.6241, 5.5810 Å; angles 90.00, 130.50, 90.00 degrees
Space group Pc (No. 7)
Symmetry-distinct sites (fractional):
Zn 0.0000 0.0604 0.0000
Zn 0.8457 0.3574 0.4637
As 0.3676 0.1838 0.5133
F 0.6450 0.4607 0.0593

Main lines, in order of rising 2θ (15 to 90 degrees two-theta):
(hkl), 2theta, I/Imax
0 1 1, 23.4, 609
1 2 -1, 30.4, 1000
1 1 0, 30.8, 228
0 0 2, 42.6, 352
1 3 0, 43.1, 330
1 3 -2, 45.3, 317
2 1 -1, 49.3, 169
1 2 1, 51.2, 184
1 2 -3, 55.2, 175
0 5 1, 57.7, 191